(1)
Calculated powder diffraction line list of Ca6Al7O16 for Cu Ka, from DFT lattice parameters and positions (PBE).

Crystal structure
```
Ca6Al7O16
1.0
-6.0542 6.0542 6.0542
6.0542 -6.0542 6.0542
6.0542 6.0542 -6.0542
Ca Al O
12 14 32
Direct
0.1119 0.2500 0.3619
0.1381 0.3881 0.7500
0.2500 0.3619 0.1119
0.2500 0.8881 0.6381
0.3619 0.1119 0.2500
0.3881 0.7500 0.1381
0.6119 0.8619 0.7500
0.6381 0.2500 0.8881
0.7500 0.1381 0.3881
0.7500 0.6119 0.8619
0.8619 0.7500 0.6119
0.8881 0.6381 0.2500
0.0000 0.0340 0.5000
0.0000 0.5340 0.5000
0.0340 0.5000 0.0000
0.1250 0.7500 0.8750
0.2500 0.6250 0.3750
0.3750 0.2500 0.6250
0.4660 0.4660 0.4660
0.5000 0.0000 0.0340
0.5000 0.0000 0.5340
0.5340 0.5000 0.0000
0.6250 0.3750 0.2500
0.7500 0.8750 0.1250
0.8750 0.1250 0.7500
0.9660 0.9660 0.9660
0.0000 0.3678 0.5000
0.0000 0.8678 0.5000
0.0206 0.3146 0.9058
0.0911 0.7060 0.6854
0.0942 0.6148 0.4089
0.1148 0.5942 0.9089
0.1322 0.1322 0.1322
0.1854 0.2060 0.5911
0.2060 0.5911 0.1854
0.2940 0.4794 0.3852
0.3146 0.9058 0.0206
0.3678 0.5000 0.0000
0.3852 0.2940 0.4794
0.4058 0.8146 0.5206
0.4089 0.0942 0.6148
0.4794 0.3852 0.2940
0.5000 0.0000 0.3678
0.5000 0.0000 0.8678
0.5206 0.4058 0.8146
0.5911 0.1854 0.2060
0.5942 0.9089 0.1148
0.6148 0.4089 0.0942
0.6322 0.6322 0.6322
0.6854 0.0911 0.7060
0.7060 0.6854 0.0911
0.7940 0.8852 0.9794
0.8146 0.5206 0.4058
0.8678 0.5000 0.0000
0.8852 0.9794 0.7940
0.9058 0.0206 0.3146
0.9089 0.1148 0.5942
0.9794 0.7940 0.8852
```

Peak list (12 most intense, 10° ≤ 2θ ≤ 80°, sorted by position)
d (Å), two_theta, Rel. int.
4.943, 17.9, 100
3.829, 23.2, 9
3.236, 27.6, 11
3.027, 29.5, 25
2.708, 33.1, 71
2.472, 36.3, 37
2.211, 40.8, 28
1.964, 46.2, 27
1.679, 54.7, 24
1.618, 56.9, 29
1.408, 66.4, 13
1.321, 71.4, 11

=====

(2)
Calculated powder diffraction line list of Ca2AlO3 for Cu Ka, from DFT lattice parameters and positions (PBE).

Crystal structure
```
Ca2AlO3
1.0
4.9947 -3.3211 0.0000
4.9947 3.3211 0.0000
-2.6805 0.0000 5.1890
Ca Al O
4 2 6
Direct
0.0641 0.2578 0.0829
0.2578 0.0641 0.5829
0.7422 0.9359 0.4171
0.9359 0.7422 0.9171
0.4414 0.5586 0.7500
0.5586 0.4414 0.2500
0.1657 0.8343 0.7500
0.3139 0.4042 0.9370
0.4042 0.3139 0.4370
0.5958 0.6861 0.5630
0.6861 0.5958 0.0630
0.8343 0.1657 0.2500
```

Peak list (12 most intense, 10° ≤ 2θ ≤ 80°, sorted by position)
d (Å), two_theta, Rel. int.
3.321, 26.8, 37
3.289, 27.1, 100
2.702, 33.1, 27
2.685, 33.4, 35
2.635, 34.0, 23
2.281, 39.5, 62
1.911, 47.6, 46
1.898, 47.9, 16
1.893, 48.1, 32
1.851, 49.2, 16
1.476, 63.0, 17
1.454, 64.0, 17

=====

(3)
Calculated powder diffraction line list of Ca2AlP2O9 for Cu Ka, from DFT lattice parameters and positions (PBE).

Crystal structure
```
Ca2AlP2O9
1.0
7.8690 0.0000 0.0000
0.0000 5.6220 0.0000
-3.3817 0.0000 7.6611
Ca Al P O
4 2 4 18
Direct
0.1856 0.2500 0.0852
0.1948 0.7500 0.7468
0.8052 0.2500 0.2532
0.8144 0.7500 0.9148
0.5000 0.0000 0.5000
0.5000 0.5000 0.5000
0.0891 0.7500 0.3097
0.4819 0.2500 0.8232
0.5181 0.7500 0.1768
0.9109 0.2500 0.6903
0.0152 0.7500 0.4525
0.0219 0.5271 0.1910
0.0219 0.9729 0.1910
0.3109 0.7500 0.4006
0.3117 0.7500 0.0531
0.3544 0.2500 0.9194
0.3548 0.2500 0.3870
0.4346 0.0239 0.7001
0.4346 0.4761 0.7001
0.5654 0.5239 0.2999
0.5654 0.9761 0.2999
0.6452 0.7500 0.6130
0.6456 0.7500 0.0806
0.6883 0.2500 0.9469
0.6891 0.2500 0.5994
0.9781 0.0271 0.8090
0.9781 0.4729 0.8090
0.9848 0.2500 0.5475
```

Peak list (12 most intense, 10° ≤ 2θ ≤ 80°, sorted by position)
d (Å), two_theta, Rel. int.
3.479, 25.6, 33
3.218, 27.7, 100
2.906, 30.8, 43
2.845, 31.4, 20
2.811, 31.8, 41
2.787, 32.1, 24
2.596, 34.5, 70
2.372, 37.9, 28
2.215, 40.7, 29
1.979, 45.8, 30
1.869, 48.7, 24
1.480, 62.8, 17

=====

(4)
Calculated powder diffraction line list of CaPrAl3O7 for Cu Ka, from DFT lattice parameters and positions (PBE).

Crystal structure
```
CaPrAl3O7
1.0
5.4941 -5.5972 0.0000
5.4941 5.5972 0.0000
0.0000 0.0000 5.1749
Ca Pr Al O
2 2 6 14
Direct
0.1589 0.1589 0.0000
0.8411 0.8411 0.0000
0.3371 0.6629 0.0289
0.6629 0.3371 0.0289
0.0000 0.5000 0.5253
0.1412 0.8588 0.4779
0.3536 0.3536 0.5582
0.5000 0.0000 0.5253
0.6464 0.6464 0.5582
0.8588 0.1412 0.4779
0.0000 0.0000 0.3313
0.0938 0.6595 0.3266
0.1435 0.8565 0.8151
0.1628 0.4120 0.7178
0.3405 0.9062 0.3266
0.3615 0.3615 0.2201
0.4120 0.1628 0.7178
0.5000 0.5000 0.7020
0.5880 0.8372 0.7178
0.6385 0.6385 0.2201
0.6595 0.0938 0.3266
0.8372 0.5880 0.7178
0.8565 0.1435 0.8151
0.9062 0.3405 0.3266
```

Peak list (12 most intense, 10° ≤ 2θ ≤ 80°, sorted by position)
d (Å), two_theta, Rel. int.
7.842, 11.3, 31
5.494, 16.1, 41
5.175, 17.1, 16
4.319, 20.6, 18
3.767, 23.6, 49
3.125, 28.6, 34
2.918, 30.6, 100
2.888, 31.0, 57
2.464, 36.5, 18
2.333, 38.6, 20
2.088, 43.3, 23
1.796, 50.9, 18

=====

(5)
Calculated powder diffraction line list of CaScAlSiO6 for Cu Ka, from DFT lattice parameters and positions (PBE).

Crystal structure
```
CaScAlSiO6
1.0
5.0216 -4.5423 0.0000
5.0216 4.5423 0.0000
-1.5768 0.0000 5.3067
Ca Sc Al Si O
2 2 2 2 12
Direct
0.0000 0.0000 0.0000
0.6178 0.3822 0.5000
0.2142 0.7858 0.5000
0.4088 0.5912 0.0000
0.1149 0.3075 0.5159
0.6925 0.8851 0.4841
0.5135 0.0718 0.9873
0.9282 0.4865 0.0127
0.1016 0.6568 0.1032
0.1974 0.0588 0.4102
0.2985 0.4894 0.6179
0.3432 0.8984 0.8968
0.4220 0.3024 0.0722
0.5106 0.7015 0.3821
0.6417 0.0616 0.7615
0.6779 0.0295 0.2434
0.6976 0.5780 0.9278
0.9384 0.3583 0.2385
0.9412 0.8026 0.5898
0.9705 0.3221 0.7566
```

Peak list (12 most intense, 10° ≤ 2θ ≤ 80°, sorted by position)
d (Å), two_theta, Rel. int.
3.089, 28.9, 100
3.026, 29.5, 31
2.998, 29.8, 17
2.653, 33.8, 39
2.633, 34.0, 25
2.587, 34.7, 43
2.192, 41.2, 18
2.087, 43.4, 22
1.704, 53.8, 19
1.670, 55.0, 14
1.570, 58.8, 16
1.459, 63.8, 18

=====

(6)
Calculated powder diffraction line list of Ca2Al3Si3O13 for Cu Ka, from DFT lattice parameters and positions (PBE).

Crystal structure
```
Ca2Al3Si3O13
1.0
8.8581 0.0000 0.0000
0.0000 5.6760 0.0000
-4.0737 0.0000 9.2844
Ca Al Si O
4 6 6 26
Direct
0.1132 0.2500 0.3632
0.3369 0.7500 0.9272
0.6631 0.2500 0.0728
0.8868 0.7500 0.6368
0.0000 0.0000 0.0000
0.0000 0.5000 0.0000
0.4382 0.2500 0.7317
0.5000 0.0000 0.5000
0.5000 0.5000 0.5000
0.5618 0.7500 0.2683
0.0798 0.2500 0.7597
0.2088 0.7500 0.5549
0.3688 0.2500 0.1799
0.6312 0.7500 0.8201
0.7912 0.2500 0.4451
0.9202 0.7500 0.2403
0.0117 0.0235 0.8208
0.0117 0.4765 0.8208
0.0224 0.7500 0.4182
0.1446 0.7500 0.0336
0.1676 0.7500 0.6941
0.1700 0.2500 0.0777
0.2748 0.2500 0.7977
0.3061 0.5077 0.5440
0.3061 0.9923 0.5440
0.3925 0.2500 0.3519
0.4371 0.7500 0.3738
0.4607 0.0149 0.1474
0.4607 0.4851 0.1474
0.5393 0.5149 0.8526
0.5393 0.9851 0.8526
0.5629 0.2500 0.6262
0.6075 0.7500 0.6481
0.6939 0.0077 0.4560
0.6939 0.4923 0.4560
0.7252 0.7500 0.2023
0.8300 0.7500 0.9223
0.8324 0.2500 0.3059
0.8554 0.2500 0.9664
0.9776 0.2500 0.5818
0.9883 0.5235 0.1792
0.9883 0.9765 0.1792
```

Peak list (12 most intense, 10° ≤ 2θ ≤ 80°, sorted by position)
d (Å), two_theta, Rel. int.
4.056, 21.9, 26
3.490, 25.5, 32
2.962, 30.2, 100
2.931, 30.5, 26
2.837, 31.5, 46
2.717, 33.0, 42
2.670, 33.6, 27
2.580, 34.8, 42
2.489, 36.1, 24
2.107, 42.9, 24
2.091, 43.3, 25
1.419, 65.8, 31

=====

(7)
Calculated powder diffraction line list of CaAl2Si2O8 for Cu Ka, from DFT lattice parameters and positions (PBE).

Crystal structure
```
CaAl2Si2O8
1.0
5.1571 0.0000 0.0000
-2.5785 4.4662 0.0000
0.0000 0.0000 14.9216
Ca Al Si O
2 4 4 16
Direct
0.0000 0.0000 0.0000
0.0000 0.0000 0.5000
0.3333 0.6667 0.3584
0.3333 0.6667 0.8584
0.6667 0.3333 0.1416
0.6667 0.3333 0.6416
0.3333 0.6667 0.1366
0.3333 0.6667 0.6366
0.6667 0.3333 0.3634
0.6667 0.3333 0.8634
0.0132 0.3908 0.0971
0.0132 0.6224 0.5971
0.3333 0.6667 0.2435
0.3333 0.6667 0.7435
0.3776 0.3908 0.5971
0.3776 0.9868 0.0971
0.3908 0.0132 0.4029
0.3908 0.3776 0.9029
0.6092 0.6224 0.0971
0.6092 0.9868 0.5971
0.6224 0.0132 0.9029
0.6224 0.6092 0.4029
0.6667 0.3333 0.2565
0.6667 0.3333 0.7565
0.9868 0.3776 0.4029
0.9868 0.6092 0.9029
```

Peak list (12 most intense, 10° ≤ 2θ ≤ 80°, sorted by position)
d (Å), two_theta, Rel. int.
4.466, 19.9, 44
3.832, 23.2, 100
3.730, 23.9, 44
2.863, 31.2, 88
2.579, 34.8, 79
2.289, 39.4, 29
2.139, 42.2, 29
1.790, 51.0, 27
1.646, 55.8, 16
1.538, 60.2, 20
1.511, 61.3, 30
1.489, 62.4, 38

=====

(8)
Calculated powder diffraction line list of Ca3Al4SiO12 for Cu Ka, from DFT lattice parameters and positions (PBE).

Crystal structure
```
Ca3Al4SiO12
1.0
5.5526 0.0000 0.0000
-2.7701 4.8463 0.0000
-0.0175 -2.6739 9.7820
Ca Al Si O
3 4 1 12
Direct
0.0000 0.0000 0.0000
0.2513 0.7830 0.5249
0.5994 0.4932 0.6181
0.2754 0.5863 0.8639
0.5695 0.6872 0.2789
0.6311 0.2426 0.8629
0.9141 0.1273 0.5738
0.2134 0.0373 0.2873
0.0010 0.9331 0.6731
0.1966 0.4865 0.6807
0.2106 0.1332 0.4522
0.3542 0.8351 0.2647
0.3607 0.3057 0.2152
0.3777 0.9534 0.9237
0.5715 0.5408 0.8868
0.6291 0.1326 0.6842
0.6476 0.7698 0.4596
0.8563 0.3468 0.4793
0.8860 0.8467 0.2054
0.9798 0.3662 0.9364
```

Peak list (12 most intense, 10° ≤ 2θ ≤ 80°, sorted by position)
d (Å), two_theta, Rel. int.
4.538, 19.6, 46
3.842, 23.1, 49
3.261, 27.4, 100
3.207, 27.8, 52
2.788, 32.1, 39
2.718, 33.0, 58
2.672, 33.5, 76
2.646, 33.9, 51
2.476, 36.3, 41
2.374, 37.9, 31
1.730, 52.9, 33
1.605, 57.4, 61